The following is a simulated powder diffraction line list of RuW2. It was derived from a DFT-relaxed cell (PBE, Alexandria), using Cu Ka.
Kinematic intensities with the Lorentz-polarization factor, no thermal factor.

Principal peaks in the range 10 to 80 degrees two-theta, by intensity:
h k l, 2θ/deg, d_spacing, I/Imax
4 1 1, 42.64, 2.121, 100
4 1 0, 38.42, 2.343, 99
2 1 2, 41.82, 2.160, 82
3 3 0, 39.58, 2.277, 49
3 3 1, 43.70, 2.071, 45
2 0 2, 40.71, 2.216, 42
5 3 2, 67.93, 1.380, 25
7 2 0, 71.05, 1.327, 24
4 1 3, 69.30, 1.356, 24
3 1 1, 34.43, 2.605, 17
5 2 2, 63.93, 1.456, 16
0 0 2, 36.01, 2.494, 15

Structural model:
```
data_RuW2
_cell_length_a 9.659
_cell_length_b 9.659
_cell_length_c 4.988
_cell_angle_alpha 90.00
_cell_angle_beta 90.00
_cell_angle_gamma 90.00
_symmetry_space_group_name_H-M 'P 42/m n m'
_symmetry_Int_Tables_number 136
_symmetry_space_group_name_Hall '-P 4n 2n'
loop_
_atom_site_label
_atom_site_type_symbol
_atom_site_fract_x
_atom_site_fract_y
_atom_site_fract_z
_atom_site_occupancy
Ru1 Ru 0.000 0.000 0.000 1
Ru2 Ru 0.070 0.263 0.000 1
W1 W 0.038 0.370 0.500 1
W2 W 0.104 0.104 0.500 1
W3 W 0.179 0.821 0.251 1
```

***

The following is a simulated powder diffraction line list of NdSm7Hg4. It was derived from a DFT-relaxed cell (PBE, Alexandria), using Cu Ka.
Kinematic intensities with the Lorentz-polarization factor, no thermal factor.

Principal peaks in the range 10 to 80 degrees two-theta, by intensity:
h k l, 2θ/deg, d_spacing, I/Imax
0 2 -1, 31.07, 2.879, 100
0 0 3, 33.02, 2.713, 98
0 2 2, 32.18, 2.781, 90
2 1 2, 33.13, 2.704, 75
2 1 -1, 35.41, 2.535, 62
2 -1 0, 31.17, 2.869, 49
2 -1 2, 36.33, 2.473, 42
-2 1 1, 34.23, 2.620, 40
2 3 1, 48.60, 1.873, 35
2 1 1, 30.02, 2.977, 32
4 0 1, 56.13, 1.639, 24
4 -2 2, 66.77, 1.401, 23

Structural model:
```
data_NdSm7Hg4
_cell_length_a 6.561
_cell_length_b 6.642
_cell_length_c 8.427
_cell_angle_alpha 80.28
_cell_angle_beta 78.21
_cell_angle_gamma 87.35
_symmetry_space_group_name_H-M 'P -1'
_symmetry_Int_Tables_number 2
_symmetry_space_group_name_Hall '-P 1'
loop_
_atom_site_label
_atom_site_type_symbol
_atom_site_fract_x
_atom_site_fract_y
_atom_site_fract_z
_atom_site_occupancy
Nd1 Nd 0.000 0.000 0.000 1
Sm1 Sm 0.123 0.326 0.633 1
Sm2 Sm 0.239 0.468 0.041 1
Sm3 Sm 0.341 0.813 0.648 1
Sm4 Sm 0.500 0.000 0.000 1
Hg1 Hg 0.167 0.079 0.334 1
Hg2 Hg 0.413 0.634 0.314 1
```

***

The following is a simulated powder diffraction line list of Ho4PuPb5. It was derived from a DFT-relaxed cell (PBE, Alexandria), using Cu Ka.
Kinematic intensities with the Lorentz-polarization factor, no thermal factor.

Principal peaks in the range 10 to 80 degrees two-theta, by intensity:
h k l, 2θ/deg, d_spacing, I/Imax
1 0 5, 32.30, 2.772, 100
1 1 0, 36.20, 2.481, 37
2 1 5, 62.67, 1.482, 31
2 0 10, 67.64, 1.385, 24
1 1 10, 54.96, 1.671, 23
0 0 10, 39.89, 2.260, 14
2 0 0, 52.13, 1.755, 13
2 2 0, 76.84, 1.241, 4

Structural model:
```
data_Ho4PuPb5
_cell_length_a 3.509
_cell_length_b 3.509
_cell_length_c 22.599
_cell_angle_alpha 90.00
_cell_angle_beta 90.00
_cell_angle_gamma 90.00
_symmetry_space_group_name_H-M 'P 4/m m m'
_symmetry_Int_Tables_number 123
_symmetry_space_group_name_Hall '-P 4 2'
loop_
_atom_site_label
_atom_site_type_symbol
_atom_site_fract_x
_atom_site_fract_y
_atom_site_fract_z
_atom_site_occupancy
Ho1 Ho 0.000 0.000 0.099 1
Ho2 Ho 0.000 0.000 0.299 1
Pu1 Pu 0.000 0.000 0.500 1
Pb1 Pb 0.500 0.500 0.000 1
Pb2 Pb 0.500 0.500 0.199 1
Pb3 Pb 0.500 0.500 0.397 1
```

***

The following is a simulated powder diffraction line list of GeOsN. It was derived from a DFT-relaxed cell (PBE, Alexandria), using Cu Ka.
Kinematic intensities with the Lorentz-polarization factor, no thermal factor.

Principal peaks in the range 10 to 80 degrees two-theta, by intensity:
h k l, 2θ/deg, d_spacing, I/Imax
3 0 1, 32.51, 2.754, 100
0 1 1, 24.77, 3.594, 85
3 1 2, 47.02, 1.933, 59
1 1 2, 37.80, 2.380, 54
2 1 1, 31.37, 2.851, 28
3 2 1, 52.10, 1.756, 25
0 2 0, 39.56, 2.278, 20
4 1 1, 46.27, 1.962, 18
3 1 0, 34.83, 2.576, 18
1 2 0, 40.76, 2.214, 16
3 1 1, 38.18, 2.357, 15
0 1 3, 50.97, 1.792, 15

Structural model:
```
data_GeOsN
_cell_length_a 9.367
_cell_length_b 4.557
_cell_length_c 5.846
_cell_angle_alpha 90.00
_cell_angle_beta 90.00
_cell_angle_gamma 90.00
_symmetry_space_group_name_H-M 'P m n 21'
_symmetry_Int_Tables_number 31
_symmetry_space_group_name_Hall 'P 2ac -2'
loop_
_atom_site_label
_atom_site_type_symbol
_atom_site_fract_x
_atom_site_fract_y
_atom_site_fract_z
_atom_site_occupancy
Ge1 Ge 0.000 0.205 0.000 1
Ge2 Ge 0.157 0.666 0.155 1
Os1 Os 0.000 0.726 0.749 1
Os2 Os 0.152 0.169 0.369 1
N1 N 0.000 0.406 0.529 1
N2 N 0.176 0.918 0.660 1
```

***

The following is a simulated powder diffraction line list of Bi7I2. It was derived from a DFT-relaxed cell (PBE, Alexandria), using Cu Ka.
Kinematic intensities with the Lorentz-polarization factor, no thermal factor.

Principal peaks in the range 10 to 80 degrees two-theta, by intensity:
h k l, 2θ/deg, d_spacing, I/Imax
2 1 1, 26.05, 3.420, 100
0 2 0, 40.12, 2.248, 52
1 0 -4, 27.43, 3.252, 47
3 1 -3, 36.21, 2.481, 39
1 2 -4, 49.33, 1.847, 20
4 0 2, 33.96, 2.640, 19
2 0 -1, 16.42, 5.400, 11
4 2 2, 53.59, 1.710, 11
3 0 6, 47.54, 1.913, 10
5 0 -2, 40.63, 2.220, 9
2 3 1, 64.75, 1.440, 9
3 2 6, 63.95, 1.456, 8

Structural model:
```
data_Bi7I2
_cell_length_a 11.643
_cell_length_b 4.489
_cell_length_c 13.433
_cell_angle_alpha 90.00
_cell_angle_beta 91.77
_cell_angle_gamma 90.00
_symmetry_space_group_name_H-M 'P 1 21/m 1'
_symmetry_Int_Tables_number 11
_symmetry_space_group_name_Hall '-P 2yb'
loop_
_atom_site_label
_atom_site_type_symbol
_atom_site_fract_x
_atom_site_fract_y
_atom_site_fract_z
_atom_site_occupancy
Bi1 Bi 0.027 0.250 0.251 1
Bi2 Bi 0.086 0.250 0.026 1
Bi3 Bi 0.127 0.750 0.528 1
Bi4 Bi 0.197 0.750 0.307 1
Bi5 Bi 0.235 0.250 0.800 1
Bi6 Bi 0.300 0.250 0.580 1
Bi7 Bi 0.412 0.750 0.851 1
I1 I 0.347 0.750 0.073 1
I2 I 0.459 0.250 0.353 1
```

***

The following is a simulated powder diffraction line list of NaHf3In. It was derived from a DFT-relaxed cell (PBE, Alexandria), using Cu Ka.
Kinematic intensities with the Lorentz-polarization factor, no thermal factor.

Principal peaks in the range 10 to 80 degrees two-theta, by intensity:
h k l, 2θ/deg, d_spacing, I/Imax
1 1 1, 31.26, 2.861, 100
2 0 0, 36.26, 2.478, 59
3 1 1, 62.13, 1.494, 43
2 2 0, 52.21, 1.752, 42
2 2 2, 65.22, 1.430, 14
4 0 0, 76.97, 1.239, 7
1 0 0, 17.90, 4.955, 5
2 1 0, 40.72, 2.216, 3
3 0 0, 55.64, 1.652, 1
4 1 0, 79.80, 1.202, 1
1 1 0, 25.42, 3.504, 1
3 2 0, 68.24, 1.374, 1

Structural model:
```
data_NaHf3In
_cell_length_a 4.955
_cell_length_b 4.955
_cell_length_c 4.955
_cell_angle_alpha 90.00
_cell_angle_beta 90.00
_cell_angle_gamma 90.00
_symmetry_space_group_name_H-M 'P m -3 m'
_symmetry_Int_Tables_number 221
_symmetry_space_group_name_Hall '-P 4 2 3'
loop_
_atom_site_label
_atom_site_type_symbol
_atom_site_fract_x
_atom_site_fract_y
_atom_site_fract_z
_atom_site_occupancy
Na1 Na 0.000 0.000 0.000 1
Hf1 Hf 0.000 0.000 0.500 1
In1 In 0.500 0.500 0.500 1
```

***

The following is a simulated powder diffraction line list of Sc5Cu2Te. It was derived from a DFT-relaxed cell (PBE, Alexandria), using Cu Ka.
Kinematic intensities with the Lorentz-polarization factor, no thermal factor.

Principal peaks in the range 10 to 80 degrees two-theta, by intensity:
h k l, 2θ/deg, d_spacing, I/Imax
2 1 3, 35.15, 2.553, 100
3 1 0, 38.20, 2.356, 92
1 1 2, 22.52, 3.948, 52
2 0 4, 38.69, 2.327, 34
1 1 4, 34.57, 2.594, 27
2 2 0, 34.03, 2.634, 20
3 1 8, 75.48, 1.260, 19
2 1 5, 46.85, 1.939, 18
3 1 4, 49.30, 1.848, 18
4 4 0, 71.68, 1.317, 17
5 2 3, 72.31, 1.307, 14
4 2 0, 55.12, 1.666, 14

Structural model:
```
data_Sc5Cu2Te
_cell_length_a 7.451
_cell_length_b 7.451
_cell_length_c 11.923
_cell_angle_alpha 90.00
_cell_angle_beta 90.00
_cell_angle_gamma 90.00
_symmetry_space_group_name_H-M 'I 4/m c m'
_symmetry_Int_Tables_number 140
_symmetry_space_group_name_Hall '-I 4 2c'
loop_
_atom_site_label
_atom_site_type_symbol
_atom_site_fract_x
_atom_site_fract_y
_atom_site_fract_z
_atom_site_occupancy
Sc1 Sc 0.000 0.000 0.000 1
Sc2 Sc 0.154 0.346 0.140 1
Cu1 Cu 0.133 0.367 0.500 1
Te1 Te 0.000 0.000 0.250 1
```

***

> Number 5 is which compound?

Bi7I2